The following is a computed PXRD pattern of CeZn9Pd3. It was derived from the PBE geometry in Alexandria, using Cu Kα, 1.54184 Å.
Peak positions follow from Bragg's law for the DFT cell and can differ from measured ones.

Peak list (10 most intense, 15 to 90 degrees two-theta, by angle)
2θ (°)	Rel. int.
34.32	25
34.56	35
39.30	66
39.59	70
39.80	65
40.11	34
40.24	100
40.46	25
44.38	65
44.94	44

Unit cell a=6.9169 b=6.9169 c=6.8015 alpha=98.39 beta=98.39 gamma=134.85
Positions (direct):
Ce: 0.0000 0.0000 0.0000
Zn: 0.0133 0.6594 0.6530
Zn: 0.2861 0.5053 0.7825
Zn: 0.3406 0.9867 0.3470
Zn: 0.4947 0.7139 0.2175
Zn: 0.5000 0.5000 0.5000
Zn: 0.5053 0.2861 0.7825
Zn: 0.6594 0.0133 0.6530
Zn: 0.7139 0.4947 0.2175
Zn: 0.9867 0.3406 0.3470
Pd: 0.0000 0.0000 0.5000
Pd: 0.0000 0.5000 0.0000
Pd: 0.5000 0.0000 0.0000